No. 1
Starting from DFT lattice parameters and positions (GGA-PBE), the X-ray powder pattern of Eu3Al2P4 was simulated for Cu Kα (λ = 1.5418 Å).
Neutral-atom scattering factors, no anomalous dispersion.

Atomic structure:
Cell: 8.233 8.233 6.578 Å, 90.26 90.26 75.74°
Sites, in units of the cell vectors:
Eu 0.099 0.901 0.750
Eu 0.250 0.508 0.461
Eu 0.492 0.750 0.039
Eu 0.508 0.250 0.961
Eu 0.750 0.492 0.539
Eu 0.901 0.099 0.250
Al 0.081 0.328 0.919
Al 0.328 0.081 0.419
Al 0.672 0.919 0.581
Al 0.919 0.672 0.081
P 0.076 0.241 0.572
P 0.210 0.560 0.974
P 0.241 0.076 0.072
P 0.440 0.790 0.526
P 0.560 0.210 0.474
P 0.759 0.924 0.928
P 0.790 0.440 0.026
P 0.924 0.759 0.428

Peak list (8 most intense, 2θ from 10° to 80°, sorted by position)
2θ (°)	Rel. int.
17.5	24
26.1	100
29.4	42
30.6	34
35.5	27
35.7	26
36.4	28
38.9	34

No. 2
Starting from DFT lattice parameters and positions (GGA-PBE), the X-ray powder pattern of P2Pd3S8 was simulated for Cu Kα (λ = 1.5418 Å).
Neutral-atom scattering factors, no anomalous dispersion.

Atomic structure:
Cell: 7.247 7.247 7.579 Å, 90.00 90.00 120.00°
Sites, in units of the cell vectors:
P 0.333 0.667 0.313
P 0.667 0.333 0.687
Pd 0.000 0.500 0.000
Pd 0.500 0.000 0.000
Pd 0.500 0.500 0.000
S 0.187 0.374 0.171
S 0.187 0.813 0.171
S 0.333 0.667 0.565
S 0.374 0.187 0.829
S 0.626 0.813 0.171
S 0.667 0.333 0.435
S 0.813 0.187 0.829
S 0.813 0.626 0.829

Peak list (8 most intense, 2θ from 10° to 80°, sorted by position)
2θ (°)	Rel. int.
11.7	100
14.1	53
18.4	26
27.3	36
30.8	62
37.2	50
46.1	27
50.4	25

No. 3
Starting from DFT lattice parameters and positions (GGA-PBE), the X-ray powder pattern of PmPuAu2 was simulated for Cu Kα (λ = 1.5418 Å).
Neutral-atom scattering factors, no anomalous dispersion.

Atomic structure:
Cell: 5.206 5.206 5.206 Å, 60.00 60.00 60.00°
Sites, in units of the cell vectors:
Pm 0.000 0.000 0.000
Pu 0.500 0.500 0.500
Au 0.250 0.250 0.250
Au 0.750 0.750 0.750

Peak list (8 most intense, 2θ from 10° to 80°, sorted by position)
2θ (°)	Rel. int.
20.9	3
34.5	100
40.6	2
49.5	18
54.3	1
61.7	38
72.7	12
76.6	1

No. 4
Starting from DFT lattice parameters and positions (GGA-PBE), the X-ray powder pattern of SmPO4 was simulated for Cu Kα (λ = 1.5418 Å).
Neutral-atom scattering factors, no anomalous dispersion.

Atomic structure:
Cell: 7.073 7.073 6.358 Å, 90.01 90.01 60.02°
Sites, in units of the cell vectors:
Sm 0.000 0.000 0.000
Sm 0.006 0.499 0.333
Sm 0.501 0.994 0.667
P 0.011 0.497 0.833
P 0.503 0.989 0.167
P 0.991 0.009 0.500
O 0.048 0.816 0.349
O 0.069 0.631 0.985
O 0.184 0.952 0.651
O 0.202 0.361 0.680
O 0.362 0.184 0.315
O 0.369 0.931 0.015
O 0.639 0.798 0.320
O 0.643 0.044 0.019
O 0.797 0.064 0.650
O 0.816 0.638 0.685
O 0.936 0.203 0.350
O 0.956 0.357 0.981

Peak list (8 most intense, 2θ from 10° to 80°, sorted by position)
2θ (°)	Rel. int.
14.5	100
20.1	75
29.2	99
31.7	76
38.1	28
41.5	40
48.6	50
53.3	25

No. 5
Starting from DFT lattice parameters and positions (GGA-PBE), the X-ray powder pattern of K8Nd3Si12O33 was simulated for Cu Kα (λ = 1.5418 Å).
Neutral-atom scattering factors, no anomalous dispersion.

Atomic structure:
Cell: 7.023 11.611 11.836 Å, 87.53 87.95 79.25°
Sites, in units of the cell vectors:
K 0.000 0.000 0.000
K 0.010 0.667 0.009
K 0.167 0.140 0.263
K 0.210 0.197 0.736
K 0.276 0.922 0.527
K 0.758 0.706 0.483
K 0.803 0.461 0.297
K 0.844 0.521 0.732
Nd 0.005 0.336 0.007
Nd 0.490 0.820 0.837
Nd 0.526 0.846 0.174
Si 0.025 0.853 0.258
Si 0.308 0.656 0.623
Si 0.321 0.636 0.350
Si 0.337 0.429 0.199
Si 0.355 0.470 0.819
Si 0.463 0.098 0.995
Si 0.549 0.569 0.017
Si 0.660 0.197 0.191
Si 0.678 0.238 0.813
Si 0.691 0.031 0.659
Si 0.706 0.009 0.388
Si 0.989 0.816 0.753
O 0.087 0.738 0.641
O 0.113 0.721 0.315
O 0.151 0.371 0.177
O 0.153 0.833 0.840
O 0.155 0.462 0.886
O 0.193 0.916 0.201
O 0.248 0.169 0.968
O 0.309 0.502 0.316
O 0.312 0.531 0.692
O 0.326 0.632 0.488
O 0.376 0.522 0.095
O 0.471 0.727 0.659
O 0.482 0.339 0.797
O 0.486 0.956 0.988
O 0.492 0.549 0.882
O 0.501 0.987 0.713
O 0.507 0.682 0.295
O 0.519 0.119 0.129
O 0.526 0.711 0.022
O 0.536 0.329 0.215
O 0.537 0.943 0.352
O 0.635 0.145 0.916
O 0.683 0.041 0.521
O 0.704 0.135 0.318
O 0.705 0.164 0.696
O 0.763 0.499 0.044
O 0.821 0.754 0.811
O 0.826 0.480 0.515
O 0.860 0.203 0.124
O 0.860 0.840 0.169
O 0.868 0.291 0.837
O 0.899 0.947 0.693
O 0.928 0.930 0.371

Peak list (8 most intense, 2θ from 10° to 80°, sorted by position)
2θ (°)	Rel. int.
16.2	52
25.7	36
27.1	44
27.4	35
27.6	43
28.4	100
29.9	60
32.1	48